[1]
Calculated PXRD pattern of Rb2UTiS6 for λ = 1.5418 Å (Cu Kα), from a structure optimized by DFT (GGA-PBE).

Atomic structure:
```
data_Rb2UTiS6
_symmetry_space_group_name_H-M 'C 1 m 1'
_symmetry_Int_Tables_number 8
_cell_length_a 10.056
_cell_length_b 9.975
_cell_length_c 7.103
_cell_angle_alpha 90.00
_cell_angle_beta 134.78
_cell_angle_gamma 90.00
loop_
_symmetry_equiv_pos_as_xyz
'x,y,z'
'x,-y,z'
'x+1/2,y+1/2,z'
'x+1/2,-y+1/2,z'
loop_
_atom_site_label
_atom_site_fract_x
_atom_site_fract_y
_atom_site_fract_z
_atom_site_occupancy
Rb1 0.000 0.249 0.000 1
U1 0.016 0.500 0.518 1
Ti1 0.032 0.000 0.534 1
S1 0.241 0.000 0.496 1
S2 0.243 0.000 0.984 1
S3 0.253 0.500 0.496 1
S4 0.255 0.500 0.012 1
S5 0.488 0.252 0.489 1
```

Largest 8 diffraction maxima, in order of falling intensity, 2θ from 5° to 70°:
2θ = 25.1°, d = 3.545 Å, rel. 100
2θ = 15.3°, d = 5.795 Å, rel. 48
2θ = 51.5°, d = 1.774 Å, rel. 23
2θ = 35.6°, d = 2.521 Å, rel. 23
2θ = 35.7°, d = 2.514 Å, rel. 23
2θ = 36.0°, d = 2.494 Å, rel. 23
2θ = 25.0°, d = 3.569 Å, rel. 20
2θ = 29.4°, d = 3.036 Å, rel. 19

---

[2]
Calculated PXRD pattern of Rb4Y3TiS8 for λ = 1.5418 Å (Cu Kα), from a structure optimized by DFT (GGA-PBE).

Atomic structure:
```
data_Rb4Y3TiS8
_symmetry_space_group_name_H-M 'R -3 m'
_symmetry_Int_Tables_number 166
_symmetry_space_group_name_Hall '-R 3 2"'
_cell_length_a 7.9959
_cell_length_b 7.9959
_cell_length_c 22.9865
_cell_angle_alpha 90.00
_cell_angle_beta 90.00
_cell_angle_gamma 120.00
loop_
_atom_site_label
_atom_site_fract_x
_atom_site_fract_y
_atom_site_fract_z
_atom_site_occupancy
Rb1 0.0000 0.0000 0.0000 1
Rb2 0.0000 0.5000 0.0000 1
Y1 0.0000 0.5000 0.5000 1
Ti1 0.0000 0.0000 0.5000 1
S1 0.0000 0.0000 0.2317 1
S2 0.0186 0.5093 0.2288 1
```

Largest 8 diffraction maxima, in order of falling intensity, 2θ from 5° to 70°:
2θ = 30.1°, d = 2.966 Å, rel. 100
2θ = 40.8°, d = 2.211 Å, rel. 34
2θ = 45.4°, d = 1.999 Å, rel. 32
2θ = 26.9°, d = 3.315 Å, rel. 27
2θ = 23.2°, d = 3.831 Å, rel. 18
2θ = 47.5°, d = 1.915 Å, rel. 17
2θ = 62.6°, d = 1.483 Å, rel. 17
2θ = 55.4°, d = 1.658 Å, rel. 16